This entry pairs a crystal structure of K2MgCo2O4 with its simulated XRD peak list. Radiation: Cu Ka. Structure: a PBE+U-relaxed structure.
Neutral-atom scattering factors, no anomalous dispersion.

Cell and atoms:
```
data_K2MgCo2O4
_cell_length_a 6.844
_cell_length_b 6.844
_cell_length_c 7.174
_cell_angle_alpha 109.89
_cell_angle_beta 109.89
_cell_angle_gamma 25.74
_space_group_name_H-M_alt 'P 1'
_space_group_IT_number 1
loop_
_space_group_symop_operation_xyz
'x,y,z'
loop_
_atom_site_label
_atom_site_type_symbol
_atom_site_fract_x
_atom_site_fract_y
_atom_site_fract_z
K1 K 0.244 0.244 0.268
K2 K 0.756 0.756 0.732
Mg1 Mg 0.000 0.000 0.000
Co1 Co 0.037 0.037 0.677
Co2 Co 0.963 0.963 0.323
O1 O 0.110 0.110 0.490
O2 O 0.424 0.424 0.098
O3 O 0.576 0.576 0.902
O4 O 0.890 0.890 0.510
```

The 10 most intense peaks (2θ = 10–80°), in order of rising 2θ:
Position (°2θ)	Rel. int.
13.17	34
14.16	98
15.63	44
26.93	41
28.55	52
30.18	100
34.07	69
36.20	51
40.54	33
49.02	74

---

This entry pairs a crystal structure of Li9Mn2Co5O16 with its simulated XRD peak list. Radiation: Cu Ka. Structure: a PBE+U-relaxed structure.
Neutral-atom scattering factors, no anomalous dispersion.

Cell and atoms:
```
data_Li9Mn2Co5O16
_cell_length_a 5.206
_cell_length_b 2.896
_cell_length_c 19.434
_cell_angle_alpha 90.00
_cell_angle_beta 97.05
_cell_angle_gamma 90.00
_space_group_name_H-M_alt 'P 1'
_space_group_IT_number 1
loop_
_space_group_symop_operation_xyz
'x,y,z'
loop_
_atom_site_label
_atom_site_type_symbol
_atom_site_fract_x
_atom_site_fract_y
_atom_site_fract_z
Li1 Li 0.000 0.000 0.000
Li2 Li 0.003 0.500 0.493
Li3 Li 0.236 0.500 0.255
Li4 Li 0.243 0.000 0.746
Li5 Li 0.484 0.500 0.998
Li6 Li 0.497 0.000 0.495
Li7 Li 0.617 0.500 0.374
Li8 Li 0.722 0.000 0.254
Li9 Li 0.742 0.500 0.747
Mn1 Mn 0.116 0.500 0.872
Mn2 Mn 0.862 0.500 0.125
Co1 Co 0.116 0.000 0.374
Co2 Co 0.363 0.000 0.126
Co3 Co 0.368 0.500 0.621
Co4 Co 0.617 0.000 0.873
Co5 Co 0.868 0.000 0.621
O1 O 0.039 0.000 0.181
O2 O 0.053 0.500 0.679
O3 O 0.185 0.000 0.565
O4 O 0.200 0.500 0.065
O5 O 0.281 0.000 0.930
O6 O 0.285 0.500 0.429
O7 O 0.379 0.000 0.321
O8 O 0.460 0.500 0.816
O9 O 0.529 0.500 0.187
O10 O 0.555 0.000 0.679
O11 O 0.683 0.500 0.563
O12 O 0.686 0.000 0.069
O13 O 0.774 0.500 0.930
O14 O 0.855 0.000 0.427
O15 O 0.948 0.500 0.319
O16 O 0.951 0.000 0.814
```

The 10 most intense peaks (2θ = 10–80°), in order of rising 2θ:
Position (°2θ)	Rel. int.
18.40	100
34.83	16
36.14	26
37.46	8
42.10	29
44.01	52
47.34	9
58.09	9
62.41	15
62.65	15